No. 1
Calculated powder X-ray diffraction pattern of Sm7InSe5 for copper Kα, from DFT lattice parameters and positions (GGA-PBE).

Unit cell a=7.215 b=7.215 c=24.900 alpha=90.00 beta=90.00 gamma=146.57
Fractional coordinates of all 26 atoms:
Sm (0.020, 0.980, 0.750)
Sm (0.137, 0.863, 0.036)
Sm (0.137, 0.863, 0.464)
Sm (0.317, 0.683, 0.676)
Sm (0.317, 0.683, 0.824)
Sm (0.408, 0.592, 0.113)
Sm (0.408, 0.592, 0.387)
Sm (0.592, 0.408, 0.613)
Sm (0.592, 0.408, 0.887)
Sm (0.683, 0.317, 0.176)
Sm (0.683, 0.317, 0.324)
Sm (0.863, 0.137, 0.536)
Sm (0.863, 0.137, 0.964)
Sm (0.980, 0.020, 0.250)
In (0.307, 0.693, 0.250)
In (0.693, 0.307, 0.750)
Se (0.049, 0.951, 0.141)
Se (0.049, 0.951, 0.359)
Se (0.225, 0.775, 0.571)
Se (0.225, 0.775, 0.929)
Se (0.500, 0.500, 0.000)
Se (0.500, 0.500, 0.500)
Se (0.775, 0.225, 0.071)
Se (0.775, 0.225, 0.429)
Se (0.951, 0.049, 0.641)
Se (0.951, 0.049, 0.859)

Most intense lines, 15° ≤ 2θ ≤ 90°, by angle:
Position (°2θ), d_spacing, Rel. int.
28.22, 3.163, 75
29.85, 2.993, 100
30.94, 2.890, 62
31.52, 2.838, 32
43.30, 2.089, 53
43.62, 2.075, 36

---

No. 2
Calculated powder X-ray diffraction pattern of Ba6PdN for copper Kα, from DFT lattice parameters and positions (GGA-PBE).

Unit cell a=7.714 b=13.516 c=7.622 alpha=90.00 beta=108.48 gamma=90.00
Fractional coordinates of all 16 atoms:
Ba (0.216, 0.145, 0.233)
Ba (0.216, 0.855, 0.233)
Ba (0.240, 0.000, 0.776)
Ba (0.260, 0.500, 0.224)
Ba (0.284, 0.355, 0.767)
Ba (0.284, 0.645, 0.767)
Ba (0.716, 0.355, 0.233)
Ba (0.716, 0.645, 0.233)
Ba (0.740, 0.500, 0.776)
Ba (0.760, 0.000, 0.224)
Ba (0.784, 0.145, 0.767)
Ba (0.784, 0.855, 0.767)
Pd (0.000, 0.500, 0.500)
Pd (0.500, 0.000, 0.500)
N (0.000, 0.000, 0.000)
N (0.500, 0.500, 0.000)

Most intense lines, 15° ≤ 2θ ≤ 90°, by angle:
Position (°2θ), d_spacing, Rel. int.
24.37, 3.652, 100
24.64, 3.614, 42
28.09, 3.177, 88
28.70, 3.111, 45
40.40, 2.233, 28
40.78, 2.213, 31

---

No. 3
Calculated powder X-ray diffraction pattern of Rb2OsPbO4 for copper Kα, from DFT lattice parameters and positions (GGA-PBE).

Unit cell a=6.496 b=6.496 c=7.595 alpha=90.00 beta=90.00 gamma=90.00
Fractional coordinates of all 16 atoms:
Rb (0.000, 0.000, 0.000)
Rb (0.000, 0.500, 0.250)
Rb (0.500, 0.000, 0.750)
Rb (0.500, 0.500, 0.500)
Os (0.000, 0.000, 0.500)
Os (0.500, 0.500, 0.000)
Pb (0.000, 0.500, 0.750)
Pb (0.500, 0.000, 0.250)
O (0.148, 0.251, 0.534)
O (0.249, 0.648, 0.966)
O (0.251, 0.852, 0.466)
O (0.352, 0.249, 0.034)
O (0.648, 0.751, 0.034)
O (0.749, 0.148, 0.466)
O (0.751, 0.352, 0.966)
O (0.852, 0.749, 0.534)

Most intense lines, 15° ≤ 2θ ≤ 90°, by angle:
Position (°2θ), d_spacing, Rel. int.
17.97, 4.937, 32
27.46, 3.248, 55
30.54, 2.927, 100
39.23, 2.297, 27
50.51, 1.807, 50
56.11, 1.639, 17

---

No. 4
Calculated powder X-ray diffraction pattern of Pr2MnCo16 for copper Kα, from DFT lattice parameters and positions (GGA-PBE).

Unit cell a=6.344 b=6.344 c=6.344 alpha=83.30 beta=83.30 gamma=83.30
Fractional coordinates of all 19 atoms:
Pr (0.000, 0.000, 0.000)
Pr (0.308, 0.308, 0.308)
Mn (0.558, 0.558, 0.558)
Co (0.150, 0.658, 0.658)
Co (0.310, 0.310, 0.804)
Co (0.310, 0.804, 0.310)
Co (0.371, 0.656, 0.940)
Co (0.371, 0.940, 0.656)
Co (0.506, 0.997, 0.997)
Co (0.656, 0.371, 0.940)
Co (0.656, 0.940, 0.371)
Co (0.658, 0.150, 0.658)
Co (0.658, 0.658, 0.150)
Co (0.755, 0.755, 0.755)
Co (0.804, 0.310, 0.310)
Co (0.940, 0.371, 0.656)
Co (0.940, 0.656, 0.371)
Co (0.997, 0.506, 0.997)
Co (0.997, 0.997, 0.506)

Most intense lines, 15° ≤ 2θ ≤ 90°, by angle:
Position (°2θ), d_spacing, Rel. int.
30.54, 2.927, 36
36.93, 2.434, 39
38.45, 2.341, 35
42.90, 2.108, 69
43.32, 2.089, 100
44.55, 2.034, 34

---

No. 5
Calculated powder X-ray diffraction pattern of La2ErTmTl2 for copper Kα, from DFT lattice parameters and positions (GGA-PBE).

Unit cell a=5.068 b=10.246 c=6.959 alpha=90.00 beta=90.00 gamma=90.00
Fractional coordinates of all 12 atoms:
La (0.000, 0.061, 0.000)
La (0.000, 0.939, 0.500)
La (0.500, 0.179, 0.221)
La (0.500, 0.821, 0.721)
Er (0.500, 0.459, 0.869)
Er (0.500, 0.541, 0.369)
Tm (0.000, 0.308, 0.578)
Tm (0.000, 0.692, 0.078)
Tl (0.000, 0.392, 0.132)
Tl (0.000, 0.608, 0.632)
Tl (0.500, 0.152, 0.708)
Tl (0.500, 0.848, 0.208)

Most intense lines, 15° ≤ 2θ ≤ 90°, by angle:
Position (°2θ), d_spacing, Rel. int.
29.13, 3.066, 32
31.18, 2.869, 76
31.59, 2.832, 100
32.41, 2.762, 89
34.18, 2.623, 53
35.43, 2.534, 69

---

No. 6
Calculated powder X-ray diffraction pattern of La3Hg for copper Kα, from DFT lattice parameters and positions (GGA-PBE).

Unit cell a=9.596 b=7.945 c=6.801 alpha=80.80 beta=54.81 gamma=44.39
Fractional coordinates of all 8 atoms:
La (0.198, 0.198, 0.802)
La (0.211, 0.528, 0.472)
La (0.472, 0.789, 0.211)
La (0.528, 0.211, 0.789)
La (0.789, 0.472, 0.528)
La (0.802, 0.802, 0.198)
Hg (0.125, 0.875, 0.125)
Hg (0.875, 0.125, 0.875)

Most intense lines, 15° ≤ 2θ ≤ 90°, by angle:
Position (°2θ), d_spacing, Rel. int.
24.69, 3.607, 19
30.41, 2.939, 50
31.60, 2.832, 22
32.28, 2.773, 100
34.78, 2.579, 50
55.23, 1.663, 22

---

No. 7
Calculated powder X-ray diffraction pattern of CeW2C2 for copper Kα, from DFT lattice parameters and positions (GGA-PBE).

Unit cell a=6.464 b=5.845 c=5.730 alpha=67.89 beta=56.90 gamma=55.21
Fractional coordinates of all 10 atoms:
Ce (0.125, 0.125, 0.125)
Ce (0.875, 0.875, 0.875)
W (0.231, 0.231, 0.519)
W (0.481, 0.481, 0.769)
W (0.519, 0.519, 0.231)
W (0.769, 0.769, 0.481)
C (0.175, 0.575, 0.175)
C (0.425, 0.825, 0.425)
C (0.575, 0.175, 0.575)
C (0.825, 0.425, 0.825)

Most intense lines, 15° ≤ 2θ ≤ 90°, by angle:
Position (°2θ), d_spacing, Rel. int.
32.12, 2.787, 100
33.11, 2.706, 84
40.10, 2.249, 30
43.94, 2.061, 42
49.53, 1.841, 28
57.89, 1.593, 19

---

No. 8
Calculated powder X-ray diffraction pattern of Li2Cu2Si5O13 for copper Kα, from DFT lattice parameters and positions (GGA-PBE).

Unit cell a=7.692 b=7.997 c=9.666 alpha=82.95 beta=68.91 gamma=66.22
Fractional coordinates of all 44 atoms:
Li (0.151, 0.397, 0.242)
Li (0.247, 0.051, 0.323)
Li (0.753, 0.949, 0.677)
Li (0.849, 0.603, 0.758)
Cu (0.033, 0.143, 0.102)
Cu (0.426, 0.836, 0.907)
Cu (0.574, 0.164, 0.093)
Cu (0.967, 0.857, 0.898)
Si (0.177, 0.225, 0.765)
Si (0.196, 0.699, 0.553)
Si (0.229, 0.751, 0.239)
Si (0.321, 0.460, 0.905)
Si (0.393, 0.289, 0.452)
Si (0.607, 0.711, 0.548)
Si (0.679, 0.540, 0.095)
Si (0.771, 0.249, 0.761)
Si (0.804, 0.301, 0.447)
Si (0.823, 0.775, 0.235)
O (0.001, 0.228, 0.300)
O (0.051, 0.682, 0.249)
O (0.171, 0.833, 0.408)
O (0.193, 0.056, 0.880)
O (0.203, 0.679, 0.933)
O (0.208, 0.394, 0.818)
O (0.222, 0.499, 0.502)
O (0.256, 0.917, 0.128)
O (0.337, 0.332, 0.047)
O (0.339, 0.161, 0.596)
O (0.382, 0.212, 0.309)
O (0.390, 0.704, 0.579)
O (0.443, 0.578, 0.205)
O (0.557, 0.422, 0.795)
O (0.610, 0.296, 0.421)
O (0.618, 0.788, 0.691)
O (0.661, 0.839, 0.404)
O (0.663, 0.668, 0.953)
O (0.744, 0.083, 0.872)
O (0.778, 0.501, 0.498)
O (0.792, 0.606, 0.182)
O (0.797, 0.321, 0.067)
O (0.807, 0.944, 0.120)
O (0.829, 0.167, 0.592)
O (0.949, 0.318, 0.751)
O (0.999, 0.772, 0.700)

Most intense lines, 15° ≤ 2θ ≤ 90°, by angle:
Position (°2θ), d_spacing, Rel. int.
23.23, 3.829, 90
24.34, 3.657, 63
27.20, 3.279, 100
27.49, 3.245, 41
31.90, 2.806, 87
32.37, 2.766, 56

---

> What is the formula in the third record?

Rb2OsPbO4